1.
Simulated PXRD pattern of SrLa3MnO8 for Cu Kα (weighted mean of Kα1 and Kα2), from a cell relaxed with PBE+U.
No peak broadening, texture or thermal motion is included.

Structure:
```
data_SrLa3MnO8
_cell_length_a 6.925
_cell_length_b 6.925
_cell_length_c 10.949
_cell_angle_alpha 90.00
_cell_angle_beta 90.00
_cell_angle_gamma 134.85
_symmetry_space_group_name_H-M 'P 1'
_symmetry_Int_Tables_number 1
loop_
_symmetry_equiv_pos_as_xyz
'x,y,z'
loop_
_atom_site_label
_atom_site_fract_x
_atom_site_fract_y
_atom_site_fract_z
Sr1 0.137 0.863 0.750
Sr2 0.863 0.137 0.250
La1 0.136 0.864 0.250
La2 0.367 0.633 0.002
La3 0.367 0.633 0.498
La4 0.633 0.367 0.502
La5 0.633 0.367 0.998
La6 0.864 0.136 0.750
Mn1 0.500 0.500 0.250
Mn2 0.500 0.500 0.750
O1 0.191 0.809 0.023
O2 0.191 0.809 0.477
O3 0.252 0.256 0.628
O4 0.252 0.256 0.872
O5 0.256 0.252 0.128
O6 0.256 0.252 0.372
O7 0.341 0.659 0.750
O8 0.342 0.658 0.250
O9 0.658 0.342 0.750
O10 0.659 0.341 0.250
O11 0.744 0.748 0.628
O12 0.744 0.748 0.872
O13 0.748 0.744 0.128
O14 0.748 0.744 0.372
O15 0.809 0.191 0.523
O16 0.809 0.191 0.977
```

The 10 most intense peaks (10 to 90 degrees two-theta), in order of rising 2θ:
2θ = 24.35°, rel. 68; 2θ = 27.91°, rel. 29; 2θ = 31.47°, rel. 100; 2θ = 32.72°, rel. 42; 2θ = 33.72°, rel. 39; 2θ = 42.56°, rel. 27; 2θ = 43.53°, rel. 32; 2θ = 44.31°, rel. 30; 2θ = 47.69°, rel. 43; 2θ = 57.63°, rel. 26

***

2.
Simulated PXRD pattern of Sr4LaMn5O13 for Cu Kα (weighted mean of Kα1 and Kα2), from a cell relaxed with PBE+U.
No peak broadening, texture or thermal motion is included.

Structure:
```
data_Sr4LaMn5O13
_cell_length_a 8.883
_cell_length_b 3.853
_cell_length_c 8.900
_cell_angle_alpha 90.00
_cell_angle_beta 90.73
_cell_angle_gamma 90.00
_symmetry_space_group_name_H-M 'P 1'
_symmetry_Int_Tables_number 1
loop_
_symmetry_equiv_pos_as_xyz
'x,y,z'
loop_
_atom_site_label
_atom_site_fract_x
_atom_site_fract_y
_atom_site_fract_z
Sr1 0.102 0.000 0.180
Sr2 0.298 0.000 0.615
Sr3 0.702 0.000 0.385
Sr4 0.898 0.000 0.820
La1 0.500 0.000 0.000
Mn1 0.000 0.500 0.500
Mn2 0.199 0.500 0.895
Mn3 0.394 0.500 0.303
Mn4 0.606 0.500 0.697
Mn5 0.801 0.500 0.105
O1 0.000 0.500 0.000
O2 0.086 0.500 0.699
O3 0.202 0.500 0.418
O4 0.210 0.000 0.901
O5 0.314 0.500 0.087
O6 0.404 0.500 0.788
O7 0.414 0.000 0.337
O8 0.586 0.000 0.663
O9 0.596 0.500 0.212
O10 0.686 0.500 0.913
O11 0.790 0.000 0.099
O12 0.798 0.500 0.582
O13 0.914 0.500 0.301
```

The 10 most intense peaks (10 to 90 degrees two-theta), in order of rising 2θ:
2θ = 31.68°, rel. 46; 2θ = 31.98°, rel. 50; 2θ = 32.28°, rel. 92; 2θ = 32.43°, rel. 100; 2θ = 39.81°, rel. 20; 2θ = 45.42°, rel. 33; 2θ = 45.85°, rel. 30; 2θ = 47.17°, rel. 32; 2θ = 56.71°, rel. 19; 2θ = 57.09°, rel. 20

***

3.
Simulated PXRD pattern of SrLaMn2O6 for Cu Kα (weighted mean of Kα1 and Kα2), from a cell relaxed with PBE+U.
No peak broadening, texture or thermal motion is included.

Structure:
```
data_SrLaMn2O6
_cell_length_a 5.561
_cell_length_b 5.561
_cell_length_c 5.561
_cell_angle_alpha 121.01
_cell_angle_beta 121.01
_cell_angle_gamma 88.26
_symmetry_space_group_name_H-M 'P 1'
_symmetry_Int_Tables_number 1
loop_
_symmetry_equiv_pos_as_xyz
'x,y,z'
loop_
_atom_site_label
_atom_site_fract_x
_atom_site_fract_y
_atom_site_fract_z
Sr1 0.000 0.000 0.000
La1 0.500 0.500 0.000
Mn1 0.250 0.750 0.500
Mn2 0.750 0.250 0.500
O1 0.000 0.500 0.500
O2 0.052 0.052 0.589
O3 0.463 0.463 0.411
O4 0.500 0.000 0.500
O5 0.537 0.948 0.000
O6 0.948 0.537 0.000
```

The 10 most intense peaks (10 to 90 degrees two-theta), in order of rising 2θ:
2θ = 19.66°, rel. 9; 2θ = 32.21°, rel. 100; 2θ = 32.71°, rel. 53; 2θ = 39.93°, rel. 25; 2θ = 45.44°, rel. 19; 2θ = 46.93°, rel. 32; 2θ = 57.11°, rel. 21; 2θ = 58.06°, rel. 41; 2θ = 67.39°, rel. 20; 2θ = 78.04°, rel. 10

***

4.
Simulated PXRD pattern of Sr4LaMn5O13 for Cu Kα (weighted mean of Kα1 and Kα2), from a cell relaxed with PBE+U.
No peak broadening, texture or thermal motion is included.

Structure:
```
data_Sr4LaMn5O13
_cell_length_a 8.796
_cell_length_b 3.887
_cell_length_c 8.833
_cell_angle_alpha 90.00
_cell_angle_beta 90.23
_cell_angle_gamma 90.00
_symmetry_space_group_name_H-M 'P 1'
_symmetry_Int_Tables_number 1
loop_
_symmetry_equiv_pos_as_xyz
'x,y,z'
loop_
_atom_site_label
_atom_site_fract_x
_atom_site_fract_y
_atom_site_fract_z
Sr1 0.000 0.000 0.000
Sr2 0.170 0.000 0.606
Sr3 0.566 0.000 0.769
Sr4 0.789 0.000 0.391
La1 0.401 0.000 0.166
Mn1 0.092 0.500 0.294
Mn2 0.284 0.500 0.885
Mn3 0.478 0.500 0.482
Mn4 0.691 0.500 0.083
Mn5 0.881 0.500 0.692
O1 0.065 0.500 0.818
O2 0.132 0.000 0.307
O3 0.227 0.500 0.119
O4 0.286 0.000 0.896
O5 0.360 0.500 0.664
O6 0.445 0.000 0.456
O7 0.503 0.500 0.963
O8 0.562 0.500 0.278
O9 0.684 0.500 0.592
O10 0.696 0.000 0.057
O11 0.861 0.000 0.728
O12 0.889 0.500 0.175
O13 0.995 0.500 0.488
```

The 10 most intense peaks (10 to 90 degrees two-theta), in order of rising 2θ:
2θ = 32.10°, rel. 27; 2θ = 32.13°, rel. 27; 2θ = 32.35°, rel. 100; 2θ = 39.79°, rel. 18; 2θ = 45.91°, rel. 15; 2θ = 46.19°, rel. 15; 2θ = 46.74°, rel. 18; 2θ = 57.31°, rel. 18; 2θ = 57.48°, rel. 19; 2θ = 57.83°, rel. 19